# 1
Structure and simulated powder diffractogram of Mg2Si3 (a cell relaxed with PBE; Cu Kα).

Cell and atoms:
```
data_Mg2Si3
_cell_length_a 4.1766
_cell_length_b 5.5503
_cell_length_c 16.6187
_cell_angle_alpha 91.29
_cell_angle_beta 90.10
_cell_angle_gamma 111.65
_symmetry_space_group_name_H-M 'P 1'
_symmetry_Int_Tables_number 1
loop_
_symmetry_equiv_pos_as_xyz
'x,y,z'
loop_
_atom_site_label
_atom_site_type_symbol
_atom_site_fract_x
_atom_site_fract_y
_atom_site_fract_z
Mg1 Mg 0.0000 0.0000 0.0000
Mg2 Mg 0.0082 0.0041 0.3713
Mg3 Mg 0.1491 0.2924 0.1745
Mg4 Mg 0.3581 0.7085 0.6976
Mg5 Mg 0.4982 0.9959 0.5001
Mg6 Mg 0.5079 0.0035 0.8711
Mg7 Mg 0.6480 0.2898 0.6746
Mg8 Mg 0.8594 0.7112 0.1976
Si1 Si 0.0289 0.0387 0.7612
Si2 Si 0.2027 0.3895 0.5556
Si3 Si 0.2057 0.4099 0.8656
Si4 Si 0.3021 0.5926 0.0063
Si5 Si 0.3045 0.6115 0.3168
Si6 Si 0.4784 0.9632 0.1101
Si7 Si 0.5296 0.0401 0.2612
Si8 Si 0.7045 0.3932 0.0556
Si9 Si 0.7061 0.4107 0.3654
Si10 Si 0.8004 0.5888 0.5064
Si11 Si 0.8038 0.6101 0.8168
Si12 Si 0.9768 0.9597 0.6101
```

Most intense lines, 2θ from 5° to 70°, in order of rising 2θ:
h k l, 2θ (°), d/Å, I/Imax
0 0 6, 32.33, 2.769, 188
0 2 0, 34.79, 2.579, 149
1 0 5, 35.78, 2.510, 688
0 2 2, 36.75, 2.446, 180
1 1 -3, 37.16, 2.419, 1000
1 -2 3, 37.42, 2.403, 765
1 1 3, 37.76, 2.382, 221
-1 2 3, 37.97, 2.370, 242
0 2 4, 41.69, 2.167, 236
2 -1 0, 43.33, 2.088, 698
-1 1 7, 44.99, 2.015, 380
0 1 -8, 46.75, 1.943, 140



# 2
Structure and simulated powder diffractogram of Mg5Si6 (a cell relaxed with PBE; Cu Kα).

Cell and atoms:
```
data_Mg5Si6
_cell_length_a 27.8637
_cell_length_b 6.7362
_cell_length_c 4.3761
_cell_angle_alpha 90.00
_cell_angle_beta 90.92
_cell_angle_gamma 90.00
_symmetry_space_group_name_H-M 'C 1 2 1'
_symmetry_Int_Tables_number 5
loop_
_symmetry_equiv_pos_as_xyz
'x,y,z'
'-x,y,-z'
'x+1/2,y+1/2,z'
'-x+1/2,y+1/2,-z'
loop_
_atom_site_label
_atom_site_type_symbol
_atom_site_fract_x
_atom_site_fract_y
_atom_site_fract_z
Mg1 Mg 0.0490 0.0000 0.2599
Mg2 Mg 0.0829 0.5117 0.2518
Mg3 Mg 0.1218 0.8188 0.7514
Mg4 Mg 0.1645 0.1462 0.2651
Mg5 Mg 0.1900 0.6514 0.2467
Si1 Si 0.0197 0.3446 0.7533
Si2 Si 0.0251 0.7118 0.7529
Si3 Si 0.0948 0.1909 0.7641
Si4 Si 0.1533 0.4467 0.7415
Si5 Si 0.2258 0.8752 0.7471
Si6 Si 0.2415 0.4912 0.7512
```

Most intense lines, 2θ from 5° to 70°, in order of rising 2θ:
h k l, 2θ (°), d/Å, I/Imax
2 2 -1, 34.14, 2.626, 278
2 2 1, 34.27, 2.617, 293
4 2 -1, 35.92, 2.500, 673
4 2 1, 36.16, 2.484, 636
8 2 0, 37.14, 2.421, 216
9 1 -1, 37.77, 2.382, 519
10 0 -1, 37.99, 2.368, 491
9 1 1, 38.29, 2.351, 445
10 0 1, 38.59, 2.333, 407
0 0 2, 41.27, 2.188, 1000
3 3 0, 41.37, 2.183, 268
1 3 1, 45.53, 1.992, 253



# 3
Structure and simulated powder diffractogram of Mg5Si6 (a cell relaxed with PBE; Cu Kα).

Cell and atoms:
```
data_Mg5Si6
_cell_length_a 7.4622
_cell_length_b 3.7623
_cell_length_c 15.1629
_cell_angle_alpha 90.00
_cell_angle_beta 93.99
_cell_angle_gamma 90.00
_symmetry_space_group_name_H-M 'P 1 m 1'
_symmetry_Int_Tables_number 6
loop_
_symmetry_equiv_pos_as_xyz
'x,y,z'
'x,-y,z'
loop_
_atom_site_label
_atom_site_type_symbol
_atom_site_fract_x
_atom_site_fract_y
_atom_site_fract_z
Mg1 Mg 0.0000 0.0000 0.0000
Mg2 Mg 0.0058 0.0000 0.2331
Mg3 Mg 0.0273 0.0000 0.6774
Mg4 Mg 0.2531 0.5000 0.5462
Mg5 Mg 0.3883 0.0000 0.1143
Mg6 Mg 0.5419 0.0000 0.9165
Mg7 Mg 0.5656 0.5000 0.4253
Mg8 Mg 0.6888 0.5000 0.7262
Mg9 Mg 0.7180 0.5000 0.0782
Mg10 Mg 0.9335 0.0000 0.4468
Si1 Si 0.0708 0.5000 0.8524
Si2 Si 0.1086 0.5000 0.1192
Si3 Si 0.2668 0.0000 0.3896
Si4 Si 0.2671 0.5000 0.2884
Si5 Si 0.2882 0.5000 0.9835
Si6 Si 0.3573 0.5000 0.7882
Si7 Si 0.3900 0.0000 0.6841
Si8 Si 0.5626 0.5000 0.2349
Si9 Si 0.6094 0.0000 0.5701
Si10 Si 0.7018 0.0000 0.3061
Si11 Si 0.8430 0.5000 0.5701
Si12 Si 0.8692 0.0000 0.8327
```

Most intense lines, 2θ from 5° to 70°, in order of rising 2θ:
h k l, 2θ (°), d/Å, I/Imax
1 0 -1, 12.88, 6.871, 312
1 1 2, 29.44, 3.034, 405
1 1 -3, 31.54, 2.836, 323
2 0 -4, 32.52, 2.753, 383
2 1 0, 33.88, 2.646, 366
1 1 4, 36.33, 2.473, 1000
2 1 3, 39.23, 2.297, 361
1 1 -5, 39.46, 2.284, 342
2 1 -4, 40.64, 2.220, 390
0 0 7, 41.81, 2.160, 275
1 0 7, 44.48, 2.037, 285
0 2 0, 48.40, 1.881, 850



# 4
Structure and simulated powder diffractogram of Mg3Si4 (a cell relaxed with PBE; Cu Kα).

Cell and atoms:
```
data_Mg3Si4
_cell_length_a 3.9589
_cell_length_b 7.3208
_cell_length_c 9.7471
_cell_angle_alpha 79.30
_cell_angle_beta 80.68
_cell_angle_gamma 89.48
_symmetry_space_group_name_H-M 'P 1'
_symmetry_Int_Tables_number 1
loop_
_symmetry_equiv_pos_as_xyz
'x,y,z'
loop_
_atom_site_label
_atom_site_type_symbol
_atom_site_fract_x
_atom_site_fract_y
_atom_site_fract_z
Mg1 Mg 0.0000 0.0000 0.0000
Mg2 Mg 0.0022 0.3087 0.7421
Mg3 Mg 0.0924 0.8922 0.6025
Mg4 Mg 0.1213 0.4575 0.4149
Mg5 Mg 0.4503 0.6423 0.8585
Mg6 Mg 0.6803 0.1894 0.2798
Si1 Si 0.1658 0.9308 0.2971
Si2 Si 0.2978 0.4513 0.1362
Si3 Si 0.5063 0.7551 0.1427
Si4 Si 0.5364 0.5453 0.6010
Si5 Si 0.5375 0.0137 0.7788
Si6 Si 0.5764 0.2213 0.5547
Si7 Si 0.6445 0.7551 0.3810
Si8 Si 0.8596 0.3799 0.0057
```

Most intense lines, 2θ from 5° to 70°, in order of rising 2θ:
h k l, 2θ (°), d/Å, I/Imax
0 1 2, 20.47, 4.338, 292
0 2 1, 24.78, 3.593, 308
1 2 1, 33.19, 2.699, 846
1 -2 0, 33.51, 2.674, 1000
1 2 0, 34.22, 2.620, 363
1 -1 3, 37.53, 2.397, 287
0 1 4, 37.82, 2.379, 911
0 3 -1, 40.51, 2.227, 580
1 1 -3, 43.42, 2.084, 424
1 -1 4, 45.26, 2.003, 323
2 0 1, 45.89, 1.977, 471
1 3 3, 47.14, 1.928, 353



# 5
Structure and simulated powder diffractogram of Mg3Si4 (a cell relaxed with PBE; Cu Kα).

Cell and atoms:
```
data_Mg3Si4
_cell_length_a 5.2262
_cell_length_b 6.7981
_cell_length_c 8.0657
_cell_angle_alpha 105.04
_cell_angle_beta 108.45
_cell_angle_gamma 98.37
_symmetry_space_group_name_H-M 'P 1'
_symmetry_Int_Tables_number 1
loop_
_symmetry_equiv_pos_as_xyz
'x,y,z'
loop_
_atom_site_label
_atom_site_type_symbol
_atom_site_fract_x
_atom_site_fract_y
_atom_site_fract_z
Mg1 Mg 0.0000 0.0000 0.0000
Mg2 Mg 0.1005 0.6795 0.5177
Mg3 Mg 0.2870 0.1979 0.5336
Mg4 Mg 0.4130 0.4658 0.2895
Mg5 Mg 0.6968 0.9528 0.5860
Mg6 Mg 0.8125 0.4474 0.0151
Si1 Si 0.2137 0.3248 0.8849
Si2 Si 0.2395 0.8152 0.2503
Si3 Si 0.4068 0.7132 0.9471
Si4 Si 0.4208 0.0312 0.8355
Si5 Si 0.6549 0.6339 0.7059
Si6 Si 0.7747 0.8693 0.2542
Si7 Si 0.8209 0.2492 0.2893
Si8 Si 0.8484 0.3519 0.6182
```

Most intense lines, 2θ from 5° to 70°, in order of rising 2θ:
h k l, 2θ (°), d/Å, I/Imax
1 1 1, 33.41, 2.682, 562
1 2 -1, 34.06, 2.632, 515
1 1 -3, 34.72, 2.583, 568
-2 1 1, 35.48, 2.530, 435
1 0 2, 36.21, 2.481, 390
0 0 3, 37.30, 2.411, 880
-2 1 2, 38.73, 2.325, 484
0 2 -3, 38.83, 2.319, 344
0 3 -1, 40.29, 2.238, 1000
2 -1 1, 41.72, 2.165, 353
1 -3 1, 41.90, 2.156, 374
2 0 -3, 42.12, 2.145, 335



# 6
Structure and simulated powder diffractogram of Mg4Si7 (a cell relaxed with PBE; Cu Kα).

Cell and atoms:
```
data_Mg4Si7
_cell_length_a 4.2658
_cell_length_b 7.1277
_cell_length_c 13.6544
_cell_angle_alpha 87.19
_cell_angle_beta 84.17
_cell_angle_gamma 83.13
_symmetry_space_group_name_H-M 'P 1'
_symmetry_Int_Tables_number 1
loop_
_symmetry_equiv_pos_as_xyz
'x,y,z'
loop_
_atom_site_label
_atom_site_type_symbol
_atom_site_fract_x
_atom_site_fract_y
_atom_site_fract_z
Mg1 Mg 0.0000 0.0000 0.0000
Mg2 Mg 0.0087 0.4911 0.0804
Mg3 Mg 0.4705 0.7928 0.1492
Mg4 Mg 0.5287 0.9837 0.8144
Mg5 Mg 0.6326 0.5602 0.7409
Mg6 Mg 0.8980 0.9079 0.4678
Mg7 Mg 0.9168 0.0779 0.2313
Mg8 Mg 0.9475 0.6187 0.3069
Si1 Si 0.0545 0.6830 0.8686
Si2 Si 0.0986 0.8445 0.7008
Si3 Si 0.1060 0.3320 0.8517
Si4 Si 0.1664 0.5821 0.5944
Si5 Si 0.2434 0.2753 0.6770
Si6 Si 0.3599 0.2197 0.3728
Si7 Si 0.4032 0.8889 0.3384
Si8 Si 0.4490 0.1800 0.0977
Si9 Si 0.4898 0.4074 0.2223
Si10 Si 0.5275 0.6863 0.9603
Si11 Si 0.5720 0.3384 0.9398
Si12 Si 0.6815 0.5892 0.5093
Si13 Si 0.8037 0.1353 0.6263
Si14 Si 0.8118 0.2864 0.4551
```

Most intense lines, 2θ from 5° to 70°, in order of rising 2θ:
h k l, 2θ (°), d/Å, I/Imax
1 0 -1, 22.68, 3.920, 304
1 1 4, 33.38, 2.684, 378
1 2 3, 35.34, 2.540, 869
0 1 -5, 35.85, 2.505, 395
1 -1 4, 35.98, 2.496, 392
1 -2 2, 37.05, 2.427, 384
1 1 -4, 37.29, 2.411, 582
0 2 -4, 37.41, 2.404, 457
-1 1 4, 38.32, 2.349, 378
0 3 -1, 39.03, 2.308, 451
1 -1 5, 41.00, 2.201, 411
2 0 1, 42.78, 2.114, 1000



Question: Number 6 is which compound?
Answer: Mg4Si7